Diffraction record for ClF4. The X-ray powder pattern is calculated, not measured: it uses a crystal structure in Alexandria, relaxed with GGA-PBE and CuKα.
No peak broadening, texture or thermal motion is included.

Main lines, in order of rising 2θ (5 to 70 degrees two-theta):
4.054 Å, I 100; 3.877 Å, I 23; 3.011 Å, I 61; 2.742 Å, I 8; 2.452 Å, I 8; 2.378 Å, I 10; 2.271 Å, I 7; 1.939 Å, I 19; 1.901 Å, I 6; 1.885 Å, I 9; 1.630 Å, I 19; 1.474 Å, I 13

Structure:
```
ClF4
1.0
5.4831 0.0000 0.0000
0.0000 5.4831 0.0000
0.0000 0.0000 6.0218
Cl F
2 8
Direct
0.0000 0.0000 0.0000
0.5000 0.5000 0.5000
0.1916 0.2554 0.0000
0.2446 0.3084 0.5000
0.2554 0.8084 0.0000
0.3084 0.7554 0.5000
0.6916 0.2446 0.5000
0.7446 0.1916 0.0000
0.7554 0.6916 0.5000
0.8084 0.7446 0.0000
```


Diffraction record for ClF4. The X-ray powder pattern is calculated, not measured: it uses a crystal structure in Alexandria, relaxed with GGA-PBE and CuKα.
No peak broadening, texture or thermal motion is included.

Main lines, in order of rising 2θ (5 to 70 degrees two-theta):
5.745 Å, I 19; 4.348 Å, I 12; 3.619 Å, I 67; 3.264 Å, I 63; 3.119 Å, I 53; 2.723 Å, I 100; 2.174 Å, I 21; 2.165 Å, I 15; 1.883 Å, I 22; 1.828 Å, I 22; 1.560 Å, I 14; 1.353 Å, I 12

Structure:
```
ClF4
1.0
5.9260 -3.1192 0.0000
5.9260 3.1192 0.0000
-1.0992 0.0000 4.3484
Cl F
2 8
Direct
0.1744 0.1744 0.2136
0.8256 0.8256 0.7864
0.0991 0.0991 0.8546
0.1094 0.5516 0.7997
0.4484 0.8906 0.2003
0.4617 0.4617 0.3498
0.5383 0.5383 0.6502
0.5516 0.1094 0.7997
0.8906 0.4484 0.2003
0.9009 0.9009 0.1454
```


Diffraction record for Cl3F. The X-ray powder pattern is calculated, not measured: it uses a crystal structure in Alexandria, relaxed with GGA-PBE and CuKα.
No peak broadening, texture or thermal motion is included.

Main lines, in order of rising 2θ (5 to 70 degrees two-theta):
4.099 Å, I 11; 3.979 Å, I 19; 3.677 Å, I 29; 3.588 Å, I 100; 3.414 Å, I 12; 3.343 Å, I 14; 3.171 Å, I 16; 2.911 Å, I 20; 2.458 Å, I 24; 2.402 Å, I 22; 2.216 Å, I 20; 2.042 Å, I 11

Structure:
```
Cl3F
1.0
5.4011 0.0000 0.0000
0.0085 6.3471 0.0000
0.7378 0.2909 6.6864
Cl F
6 2
Direct
0.0514 0.3203 0.2266
0.2357 0.7829 0.5778
0.3667 0.1074 0.7486
0.6333 0.8926 0.2514
0.7643 0.2171 0.4222
0.9486 0.6797 0.7734
0.4484 0.3256 0.8701
0.5516 0.6744 0.1299
```


Diffraction record for Cl4F. The X-ray powder pattern is calculated, not measured: it uses a crystal structure in Alexandria, relaxed with GGA-PBE and CuKα.
No peak broadening, texture or thermal motion is included.

Main lines, in order of rising 2θ (5 to 70 degrees two-theta):
4.816 Å, I 12; 4.270 Å, I 89; 3.812 Å, I 12; 3.728 Å, I 24; 3.710 Å, I 99; 3.643 Å, I 100; 2.980 Å, I 14; 2.891 Å, I 14; 2.848 Å, I 28; 2.671 Å, I 31; 2.534 Å, I 16; 1.685 Å, I 12

Structure:
```
Cl4F
1.0
5.0681 0.0000 0.0000
0.0246 7.1706 0.0000
2.2785 3.1073 8.5406
Cl F
8 2
Direct
0.0000 0.0000 0.0000
0.0051 0.3978 0.5165
0.1018 0.7018 0.3623
0.2779 0.2164 0.9752
0.4150 0.8998 0.5208
0.4662 0.1982 0.3560
0.6156 0.6985 0.0174
0.8952 0.5014 0.9974
0.3900 0.6490 0.6577
0.9058 0.1438 0.6457
```